# 1
# Na2Ta2O5
Theoretical powder X-ray diffraction pattern, Cu Ka. Input: DFT lattice parameters and positions (GGA-PBE).

Structure:
```
data_Na2Ta2O5
_symmetry_space_group_name_H-M 'P 1'
_symmetry_Int_Tables_number 1
_cell_length_a 4.2639
_cell_length_b 4.0257
_cell_length_c 6.2355
_cell_angle_alpha 90.00
_cell_angle_beta 96.81
_cell_angle_gamma 90.00
loop_
_symmetry_equiv_pos_as_xyz
'x,y,z'
loop_
_atom_site_label
_atom_site_fract_x
_atom_site_fract_y
_atom_site_fract_z
Na1 0.2059 0.0000 0.1577
Na2 0.7941 0.0000 0.8423
Ta1 0.3126 0.5000 0.6777
Ta2 0.6874 0.5000 0.3223
O1 0.1811 0.5000 0.3350
O2 0.2931 0.0000 0.6909
O3 0.5000 0.5000 0.0000
O4 0.7069 0.0000 0.3091
O5 0.8189 0.5000 0.6650
```

Peak list (6 most intense, 5 to 70 degrees two-theta, sorted by position)
14.3°, intensity 52
22.1°, intensity 100
26.9°, intensity 55
32.9°, intensity 45
33.8°, intensity 42
35.1°, intensity 55

=====

# 2
# HfIn2CoCl
Theoretical powder X-ray diffraction pattern, Cu Ka. Input: DFT lattice parameters and positions (GGA-PBE).

Structure:
```
data_HfIn2CoCl
_symmetry_space_group_name_H-M 'P 1'
_symmetry_Int_Tables_number 1
_cell_length_a 5.9111
_cell_length_b 5.9111
_cell_length_c 4.4081
_cell_angle_alpha 90.00
_cell_angle_beta 90.00
_cell_angle_gamma 90.00
loop_
_symmetry_equiv_pos_as_xyz
'x,y,z'
loop_
_atom_site_label
_atom_site_fract_x
_atom_site_fract_y
_atom_site_fract_z
Hf1 0.0000 0.0000 0.0000
In1 0.0000 0.5000 0.0000
In2 0.5000 0.0000 0.0000
Co1 0.0000 0.0000 0.5000
Cl1 0.5000 0.5000 0.5000
```

Peak list (6 most intense, 5 to 70 degrees two-theta, sorted by position)
15.0°, intensity 81
20.1°, intensity 50
30.2°, intensity 100
36.6°, intensity 45
43.3°, intensity 37
51.7°, intensity 43

=====

# 3
# EuAu2
Theoretical powder X-ray diffraction pattern, Cu Ka. Input: DFT lattice parameters and positions (GGA-PBE).

Structure:
```
data_EuAu2
_symmetry_space_group_name_H-M 'P 1'
_symmetry_Int_Tables_number 1
_cell_length_a 6.0333
_cell_length_b 6.0333
_cell_length_c 6.0333
_cell_angle_alpha 133.71
_cell_angle_beta 105.31
_cell_angle_gamma 92.58
loop_
_symmetry_equiv_pos_as_xyz
'x,y,z'
loop_
_atom_site_label
_atom_site_fract_x
_atom_site_fract_y
_atom_site_fract_z
Eu1 0.2847 0.0347 0.2500
Eu2 0.7153 0.9653 0.7500
Au1 0.1250 0.6630 0.4620
Au2 0.2990 0.3370 0.9620
Au3 0.7010 0.6630 0.0380
Au4 0.8750 0.3370 0.5380
```

Peak list (6 most intense, 5 to 70 degrees two-theta, sorted by position)
31.1°, intensity 23
32.6°, intensity 41
32.7°, intensity 100
37.5°, intensity 84
37.9°, intensity 46
50.8°, intensity 24